1.
Diffraction record for NaPrHf4O12. The powder XRD pattern is calculated, not measured: it uses DFT lattice parameters and positions (PBE) and Cu Kα.

Atomic structure:
Cell: 8.266 5.720 5.720 Å, 90.13 90.00 90.00°
Atoms (fractional coordinates):
Na: 0.000 0.000 0.000
Pr: 0.500 0.481 0.481
Hf: 0.239 0.497 0.990
Hf: 0.239 0.990 0.497
Hf: 0.761 0.497 0.990
Hf: 0.761 0.990 0.497
O: 0.000 0.008 0.438
O: 0.000 0.438 0.008
O: 0.215 0.785 0.785
O: 0.280 0.278 0.712
O: 0.280 0.712 0.278
O: 0.298 0.246 0.246
O: 0.500 0.528 0.937
O: 0.500 0.937 0.528
O: 0.702 0.246 0.246
O: 0.720 0.278 0.712
O: 0.720 0.712 0.278
O: 0.785 0.785 0.785

Top 6 peaks for 2θ from 10° to 90°, low angle first:
2θ = 21.50°, intensity 34; 2θ = 21.97°, intensity 67; 2θ = 30.93°, intensity 100; 2θ = 31.27°, intensity 49; 2θ = 54.81°, intensity 22; 2θ = 55.45°, intensity 43

2.
Diffraction record for NaPrHf2O6. The powder XRD pattern is calculated, not measured: it uses DFT lattice parameters and positions (PBE) and Cu Kα.

Atomic structure:
Cell: 5.803 5.803 5.803 Å, 60.00 60.00 60.00°
Atoms (fractional coordinates):
Na: 0.000 0.000 0.000
Pr: 0.500 0.500 0.500
Hf: 0.250 0.250 0.250
Hf: 0.750 0.750 0.750
O: 0.000 0.000 0.500
O: 0.000 0.500 0.000
O: 0.000 0.500 0.500
O: 0.500 0.000 0.000
O: 0.500 0.000 0.500
O: 0.500 0.500 0.000

Top 6 peaks for 2θ from 10° to 90°, low angle first:
2θ = 21.66°, intensity 25; 2θ = 30.82°, intensity 100; 2θ = 44.15°, intensity 30; 2θ = 54.80°, intensity 41; 2θ = 64.20°, intensity 19; 2θ = 89.34°, intensity 22

3.
Diffraction record for Na4HfS4O18. The powder XRD pattern is calculated, not measured: it uses DFT lattice parameters and positions (PBE) and Cu Kα.

Atomic structure:
Cell: 6.887 6.887 17.283 Å, 90.05 90.05 94.52°
Atoms (fractional coordinates):
Na: 0.011 0.651 0.905
Na: 0.146 0.345 0.450
Na: 0.345 0.146 0.950
Na: 0.349 0.989 0.595
Na: 0.651 0.011 0.405
Na: 0.655 0.854 0.050
Na: 0.854 0.655 0.550
Na: 0.989 0.349 0.095
Hf: 0.358 0.642 0.250
Hf: 0.642 0.358 0.750
S: 0.112 0.845 0.090
S: 0.155 0.888 0.410
S: 0.401 0.479 0.625
S: 0.479 0.401 0.125
S: 0.521 0.599 0.875
S: 0.599 0.521 0.375
S: 0.845 0.112 0.590
S: 0.888 0.155 0.910
O: 0.000 0.018 0.396
O: 0.000 0.982 0.604
O: 0.007 0.680 0.050
O: 0.018 0.000 0.896
O: 0.077 0.491 0.233
O: 0.086 0.705 0.448
O: 0.171 0.769 0.171
O: 0.231 0.829 0.329
O: 0.293 0.651 0.622
O: 0.295 0.914 0.052
O: 0.320 0.993 0.450
O: 0.346 0.366 0.701
O: 0.348 0.374 0.060
O: 0.349 0.707 0.878
O: 0.366 0.346 0.201
O: 0.374 0.348 0.560
O: 0.382 0.470 0.358
O: 0.470 0.382 0.858
O: 0.491 0.077 0.733
O: 0.509 0.923 0.267
O: 0.530 0.618 0.142
O: 0.618 0.530 0.642
O: 0.626 0.652 0.440
O: 0.634 0.654 0.799
O: 0.651 0.293 0.122
O: 0.652 0.626 0.940
O: 0.654 0.634 0.299
O: 0.680 0.007 0.550
O: 0.705 0.086 0.948
O: 0.707 0.349 0.378
O: 0.769 0.171 0.671
O: 0.829 0.231 0.829
O: 0.914 0.295 0.552
O: 0.923 0.509 0.767
O: 0.982 0.000 0.104
O: 0.993 0.320 0.950

Top 6 peaks for 2θ from 10° to 90°, low angle first:
2θ = 12.89°, intensity 39; 2θ = 13.88°, intensity 100; 2θ = 16.49°, intensity 63; 2θ = 18.99°, intensity 35; 2θ = 23.40°, intensity 31; 2θ = 30.31°, intensity 47